# 1
The following is a simulated PXRD pattern of Np2MnTe4. It was derived from a GGA-PBE-relaxed structure, using Cu Kα (λ = 1.5418 Å).
Peak positions follow from Bragg's law for the DFT cell and can differ from measured ones.

Peak list (8 most intense, 2θ from 5° to 70°, by angle)
2θ 12.73, I 43.0, hkl 2 0 0; 2θ 27.18, I 50.5, hkl 0 0 2; 2θ 27.48, I 100.0, hkl 3 1 -1; 2θ 35.41, I 25.9, hkl 6 0 -2; 2θ 35.55, I 77.9, hkl 3 1 1; 2θ 42.30, I 42.7, hkl 3 1 -3; 2θ 46.27, I 23.7, hkl 5 1 1; 2θ 56.70, I 21.4, hkl 6 2 -2

Atomic structure:
Lattice parameters (Å, degrees): 15.7470 4.2243 7.4308 90.00 117.98 90.00
Space group C2/m (No. 12)
One atom of each set of equivalent atoms:
Np: 0.2430 0.0000 0.2485 (multiplicity 4)
Mn: 0.0000 0.5000 0.5000 (multiplicity 2)
Te: 0.1124 0.5000 0.2928 (multiplicity 4)
Te: 0.1166 0.0000 0.7752 (multiplicity 4)

---

# 2
The following is a simulated PXRD pattern of Er5CdAu4. It was derived from a GGA-PBE-relaxed structure, using Cu Kα (λ = 1.5418 Å).
Peak positions follow from Bragg's law for the DFT cell and can differ from measured ones.

Peak list (8 most intense, 2θ from 5° to 70°, by angle)
2θ 9.76, I 1.7, hkl 0 0 2; 2θ 35.23, I 100.0, hkl 1 0 5; 2θ 35.45, I 50.0, hkl 1 1 0; 2θ 39.01, I 1.4, hkl 1 0 6; 2θ 50.36, I 8.7, hkl 0 0 10; 2θ 51.00, I 17.9, hkl 2 0 0; 2θ 63.09, I 17.8, hkl 1 1 10; 2θ 63.51, I 36.6, hkl 2 1 5

Atomic structure:
Lattice parameters (Å, degrees): 3.5811 3.5811 18.1205 90.00 90.00 90.00
Space group P4/mmm (No. 123)
One atom of each set of equivalent atoms:
Er: 0.0000 0.0000 0.0000 (multiplicity 1)
Er: 0.0000 0.0000 0.1970 (multiplicity 2)
Er: 0.0000 0.0000 0.3918 (multiplicity 2)
Cd: 0.5000 0.5000 0.5000 (multiplicity 1)
Au: 0.5000 0.5000 0.0986 (multiplicity 2)
Au: 0.5000 0.5000 0.2977 (multiplicity 2)